No. 1
Calculated powder XRD pattern
Compound: Li2YPd6
Radiation: copper Kα
Structure: a structure optimized by DFT (PBE)
Neutral-atom scattering factors, no anomalous dispersion.

Top 8 peaks for 2θ from 10° to 80°, sorted by position:
2θ 19.9, 4.469 Å, I 92
2θ 39.7, 2.271 Å, I 100
2θ 40.4, 2.234 Å, I 26
2θ 43.5, 2.079 Å, I 43
2θ 49.4, 1.844 Å, I 50
2θ 65.6, 1.422 Å, I 22
2θ 69.3, 1.356 Å, I 16
2θ 72.9, 1.297 Å, I 15

Structural model:
abc: 4.6963 4.6963 8.9378
angles: 90.00 90.00 120.00
Space group P-31m (No. 162)
One atom of each set of equivalent atoms:
Li (0.3333, 0.6667, 0.0000) (multiplicity 2)
Y (0.0000, 0.0000, 0.5000) (multiplicity 1)
Pd (0.0000, 0.3374, 0.2416) (multiplicity 6)

=====

No. 2
Calculated powder XRD pattern
Compound: In3Sb2Au6
Radiation: copper Kα
Structure: a structure optimized by DFT (PBE)
Neutral-atom scattering factors, no anomalous dispersion.

Top 8 peaks for 2θ from 10° to 80°, sorted by position:
2θ 29.9, 2.991 Å, I 37
2θ 31.6, 2.832 Å, I 100
2θ 32.9, 2.724 Å, I 40
2θ 37.6, 2.392 Å, I 48
2θ 38.8, 2.320 Å, I 91
2θ 39.8, 2.266 Å, I 74
2θ 42.5, 2.126 Å, I 53
2θ 44.8, 2.025 Å, I 38

Structural model:
abc: 6.512 7.605 10.112
angles: 90.00 92.60 90.00
Space group P2_1/c (No. 14)
One atom of each set of equivalent atoms:
In (0.000, 0.000, 0.000) (multiplicity 2)
In (0.468, 0.080, 0.182) (multiplicity 4)
Sb (0.211, 0.582, 0.940) (multiplicity 4)
Au (0.177, 0.117, 0.701) (multiplicity 4)
Au (0.198, 0.733, 0.680) (multiplicity 4)
Au (0.376, 0.241, 0.939) (multiplicity 4)

=====

No. 3
Calculated powder XRD pattern
Compound: ScSn
Radiation: copper Kα
Structure: a structure optimized by DFT (PBE)
Neutral-atom scattering factors, no anomalous dispersion.

Top 8 peaks for 2θ from 10° to 80°, sorted by position:
2θ 27.1, 3.295 Å, I 43
2θ 33.1, 2.706 Å, I 28
2θ 33.8, 2.650 Å, I 28
2θ 34.5, 2.602 Å, I 86
2θ 35.0, 2.562 Å, I 100
2θ 37.0, 2.427 Å, I 52
2θ 37.6, 2.395 Å, I 45
2θ 40.0, 2.257 Å, I 30

Structural model:
abc: 5.864 6.038 10.602
angles: 90.00 90.00 90.00
Space group P2_12_12_1 (No. 19)
One atom of each set of equivalent atoms:
Sc (0.080, 0.110, 0.220) (multiplicity 4)
Sc (0.179, 0.367, 0.538) (multiplicity 4)
Sn (0.078, 0.544, 0.791) (multiplicity 4)
Sn (0.189, 0.882, 0.465) (multiplicity 4)

=====

No. 4
Calculated powder XRD pattern
Compound: Sr3Sn2Pt2
Radiation: copper Kα
Structure: a structure optimized by DFT (PBE)
Neutral-atom scattering factors, no anomalous dispersion.

Top 8 peaks for 2θ from 10° to 80°, sorted by position:
2θ 14.4, 6.154 Å, I 39
2θ 18.6, 4.774 Å, I 34
2θ 31.1, 2.878 Å, I 33
2θ 32.1, 2.789 Å, I 34
2θ 33.5, 2.675 Å, I 51
2θ 35.3, 2.540 Å, I 27
2θ 36.2, 2.483 Å, I 100
2θ 37.7, 2.384 Å, I 24

Structural model:
abc: 6.154 8.911 14.304
angles: 90.00 90.00 90.00
Space group Pbcm (No. 57)
One atom of each set of equivalent atoms:
Sr (0.144, 0.250, 0.250) (multiplicity 4)
Sr (0.353, 0.606, 0.099) (multiplicity 8)
Sn (0.134, 0.250, 0.000) (multiplicity 4)
Sn (0.343, 0.597, 0.750) (multiplicity 4)
Pt (0.118, 0.533, 0.589) (multiplicity 8)

=====

No. 5
Calculated powder XRD pattern
Compound: Cs2Sn2HgAs2
Radiation: copper Kα
Structure: a structure optimized by DFT (PBE)
Neutral-atom scattering factors, no anomalous dispersion.

Top 8 peaks for 2θ from 10° to 80°, sorted by position:
2θ 11.3, 7.815 Å, I 48
2θ 22.3, 3.988 Å, I 81
2θ 23.2, 3.834 Å, I 95
2θ 26.0, 3.425 Å, I 80
2θ 30.4, 2.937 Å, I 100
2θ 31.0, 2.884 Å, I 46
2θ 33.9, 2.644 Å, I 66
2θ 38.4, 2.346 Å, I 49

Structural model:
abc: 4.256 8.250 8.871
angles: 117.18 90.21 104.76
Space group P-1 (No. 2)
One atom of each set of equivalent atoms:
Cs (0.089, 0.173, 0.389) (multiplicity 2)
Sn (0.269, 0.542, 0.851) (multiplicity 2)
Hg (0.500, 0.000, 0.000) (multiplicity 1)
As (0.357, 0.712, 0.203) (multiplicity 2)

=====

No. 6
Calculated powder XRD pattern
Compound: Ho12Tm2Tl
Radiation: copper Kα
Structure: a structure optimized by DFT (PBE)
Neutral-atom scattering factors, no anomalous dispersion.

Top 8 peaks for 2θ from 10° to 80°, sorted by position:
2θ 30.3, 2.947 Å, I 79
2θ 30.7, 2.917 Å, I 85
2θ 31.0, 2.885 Å, I 47
2θ 32.1, 2.785 Å, I 24
2θ 33.4, 2.681 Å, I 100
2θ 33.5, 2.671 Å, I 76
2θ 33.9, 2.646 Å, I 50
2θ 48.1, 1.892 Å, I 24

Structural model:
abc: 3.564 5.361 24.334
angles: 90.00 90.31 90.00
Space group P2/m (No. 10)
One atom of each set of equivalent atoms:
Ho (0.222, 0.000, 0.063) (multiplicity 2)
Ho (0.245, 0.000, 0.200) (multiplicity 2)
Ho (0.245, 0.000, 0.332) (multiplicity 2)
Ho (0.246, 0.500, 0.424) (multiplicity 2)
Ho (0.253, 0.000, 0.555) (multiplicity 2)
Ho (0.267, 0.500, 0.869) (multiplicity 2)
Tm (0.258, 0.500, 0.721) (multiplicity 2)
Tl (0.500, 0.500, 0.000) (multiplicity 1)